Ac6Pd23: computed X-ray diffraction stick pattern (λ = 1.5418 Å (Cu Kα)), based on a DFT-relaxed cell (GGA-PBE, Alexandria).
Intensities are scaled so that the largest is 100.

Crystal structure
```
Ac6Pd23
1.0
0.0000 6.6290 6.6290
6.6290 0.0000 6.6290
6.6290 6.6290 0.0000
Ac Pd
6 23
Cartesian
6.6290 6.6290 2.9642
6.6290 2.9642 6.6290
10.2939 6.6290 6.6290
2.9642 6.6290 6.6290
6.6290 10.2939 6.6290
6.6290 6.6290 10.2939
3.3145 3.3145 0.0000
3.3145 0.0000 3.3145
6.6290 3.3145 3.3145
8.2332 5.0248 5.0248
2.2848 2.2848 2.2848
4.3442 4.3442 2.2848
4.3442 2.2848 4.3442
5.0248 5.0248 5.0248
8.2332 8.2332 5.0248
8.2332 5.0248 8.2332
2.2848 4.3442 4.3442
0.0000 3.3145 3.3145
3.3145 6.6290 3.3145
3.3145 3.3145 6.6290
6.6290 6.6290 6.6290
10.9732 8.9138 8.9138
5.0248 8.2332 5.0248
5.0248 5.0248 8.2332
8.2332 8.2332 8.2332
8.9138 10.9732 8.9138
8.9138 8.9138 10.9732
10.9732 10.9732 10.9732
5.0248 8.2332 8.2332
```

Largest 10 diffraction maxima, sorted by position, 2θ = 10–90°:
2θ/deg, I (rel.)
23.24, 12
26.90, 10
33.10, 18
35.17, 41
38.41, 100
40.24, 11
43.15, 11
69.46, 22
70.70, 10
73.95, 10

=====

Ac3Pd4: computed X-ray diffraction stick pattern (λ = 1.5418 Å (Cu Kα)), based on a DFT-relaxed cell (GGA-PBE, Alexandria).
Intensities are scaled so that the largest is 100.

Crystal structure
```
Ac3Pd4
1.0
2.1077 -5.5728 0.0000
2.1077 5.5728 0.0000
0.0000 0.0000 15.6277
Ac Pd
6 8
Cartesian
2.1077 4.8576 11.7208
2.1077 1.7971 9.2894
2.1077 1.7971 14.1521
2.1077 -1.7971 1.4756
2.1077 -1.7971 6.3382
2.1077 -4.8576 3.9069
0.0000 0.0000 0.0000
0.0000 0.0000 7.8138
2.1077 3.1768 3.9069
2.1077 1.3396 1.6273
2.1077 1.3396 6.1865
2.1077 -1.3396 9.4412
2.1077 -1.3396 14.0004
2.1077 -3.1768 11.7208
```

Largest 10 diffraction maxima, sorted by position, 2θ = 10–90°:
2θ/deg, I (rel.)
23.38, 24
25.30, 27
32.11, 66
32.26, 100
32.64, 42
34.43, 31
36.56, 29
39.73, 35
42.91, 34
49.44, 23

=====

Ac2PmPd9: computed X-ray diffraction stick pattern (λ = 1.5418 Å (Cu Kα)), based on a DFT-relaxed cell (GGA-PBE, Alexandria).
Intensities are scaled so that the largest is 100.

Crystal structure
```
Ac2PmPd9
1.0
2.7447 1.5847 9.2283
-2.7447 1.5847 9.2283
0.0000 -3.1694 9.2283
Ac Pm Pd
2 1 9
Cartesian
0.0000 0.0000 3.7791
0.0000 0.0000 23.9059
0.0000 0.0000 0.0000
-1.3784 -0.7958 11.5135
0.0000 0.0000 9.2187
0.0000 -1.5916 16.1715
-1.3784 0.7958 16.1715
0.0000 0.0000 13.8425
1.3784 -0.7958 11.5135
0.0000 1.5916 11.5135
0.0000 0.0000 18.4663
1.3784 0.7958 16.1715
```

Largest 10 diffraction maxima, sorted by position, 2θ = 10–90°:
2θ/deg, I (rel.)
29.38, 39
31.99, 42
32.62, 48
37.99, 41
38.15, 100
40.11, 20
40.56, 27
41.34, 34
61.91, 24
68.35, 29

=====

Ac4Pm3Pd2: computed X-ray diffraction stick pattern (λ = 1.5418 Å (Cu Kα)), based on a DFT-relaxed cell (GGA-PBE, Alexandria).
Intensities are scaled so that the largest is 100.

Crystal structure
```
Ac4Pm3Pd2
1.0
9.1224 -2.0094 0.0000
9.1224 2.0094 0.0000
-4.1271 0.0000 8.6641
Ac Pm Pd
4 3 2
Cartesian
0.6267 0.0000 3.3241
1.4287 0.0000 7.2893
12.6890 0.0000 1.3748
13.4910 0.0000 5.3400
6.4825 0.0000 2.6659
9.1224 0.0000 0.0000
7.6352 0.0000 5.9981
-1.9879 0.0000 8.1297
16.1056 0.0000 0.5344
```

Largest 10 diffraction maxima, sorted by position, 2θ = 10–90°:
2θ/deg, I (rel.)
26.79, 96
27.70, 59
28.00, 65
29.18, 66
30.13, 74
31.83, 39
32.40, 100
35.23, 36
45.08, 68
56.77, 38

=====

Ac2PmSi3Pd12: computed X-ray diffraction stick pattern (λ = 1.5418 Å (Cu Kα)), based on a DFT-relaxed cell (GGA-PBE, Alexandria).
Intensities are scaled so that the largest is 100.

Crystal structure
```
Ac2PmSi3Pd12
1.0
4.7068 2.7174 4.4472
-4.7068 2.7174 4.4472
0.0000 -5.4349 4.4472
Ac Pm Si Pd
2 1 3 12
Cartesian
0.0000 0.0000 1.7835
0.0000 0.0000 11.5581
0.0000 0.0000 6.6708
-2.3534 -1.3587 4.4472
-2.3534 1.3587 8.8944
0.0000 2.7174 4.4472
0.0000 -2.3603 3.7976
-2.0441 1.1802 3.7976
-2.3811 -1.3747 6.8254
0.0000 -2.7495 6.5162
-2.3811 1.3747 6.5162
-2.0441 -1.1802 9.5439
2.0441 1.1802 3.7976
2.3811 -1.3747 6.8254
0.0000 2.7495 6.8254
2.3811 1.3747 6.5162
2.0441 -1.1802 9.5439
0.0000 2.3603 9.5439
```

Largest 10 diffraction maxima, sorted by position, 2θ = 10–90°:
2θ/deg, I (rel.)
19.97, 22
27.59, 26
31.99, 17
34.75, 34
35.40, 24
38.24, 100
38.84, 17
43.51, 23
44.94, 15
60.45, 15

=====

Ac2Pr2Pd3: computed X-ray diffraction stick pattern (λ = 1.5418 Å (Cu Kα)), based on a DFT-relaxed cell (GGA-PBE, Alexandria).
Intensities are scaled so that the largest is 100.

Crystal structure
```
Ac2Pr2Pd3
1.0
4.3819 0.0000 0.0000
0.0032 7.4590 0.0000
2.1875 1.4858 7.0196
Ac Pr Pd
2 2 3
Cartesian
1.0943 3.1392 1.7926
5.4783 5.8056 5.2269
3.2820 2.1640 5.4395
3.2906 6.7808 1.5801
3.2877 7.1187 7.0050
3.2863 4.4724 3.5098
3.2849 1.8261 0.0146
```

Largest 10 diffraction maxima, sorted by position, 2θ = 10–90°:
2θ/deg, I (rel.)
12.13, 16
25.07, 10
25.18, 20
28.85, 100
29.85, 47
41.25, 37
41.79, 38
42.18, 36
51.70, 21
59.76, 12

=====

Ac6PrPd4: computed X-ray diffraction stick pattern (λ = 1.5418 Å (Cu Kα)), based on a DFT-relaxed cell (GGA-PBE, Alexandria).
Intensities are scaled so that the largest is 100.

Crystal structure
```
Ac6PrPd4
1.0
4.3023 -4.7741 0.0000
4.3023 4.7741 0.0000
-4.2876 0.0000 8.9287
Ac Pr Pd
6 1 4
Cartesian
0.0000 0.0000 0.0000
0.0805 2.4019 5.9418
2.2326 2.1742 2.5454
0.1785 0.0000 8.9205
0.0805 -2.4019 5.9418
2.2326 -2.1742 2.5454
-2.0621 0.0000 5.2402
-0.0232 0.0000 3.0663
2.2443 2.5211 8.3079
4.4935 0.0000 3.0658
2.2443 -2.5211 8.3079
```

Largest 10 diffraction maxima, sorted by position, 2θ = 10–90°:
2θ/deg, I (rel.)
27.35, 32
27.92, 20
29.69, 100
30.02, 41
34.51, 53
36.72, 21
37.68, 29
42.00, 23
48.91, 20
49.83, 18

=====

AcPr2Pd2: computed X-ray diffraction stick pattern (λ = 1.5418 Å (Cu Kα)), based on a DFT-relaxed cell (GGA-PBE, Alexandria).
Intensities are scaled so that the largest is 100.

Crystal structure
```
AcPr2Pd2
1.0
5.4795 0.0000 0.0000
0.0000 4.9800 0.0000
-1.1301 0.0000 11.0639
Ac Pr Pd
2 4 4
Cartesian
0.7871 1.2450 2.5338
3.5624 3.7350 8.5301
0.7972 3.7350 5.5098
0.8124 1.2450 9.8378
3.5371 3.7350 1.2261
3.5522 1.2450 5.5541
0.8282 3.7350 0.1992
0.8042 1.2450 6.9404
3.5452 3.7350 4.1235
3.5212 1.2450 10.8647
```

Largest 10 diffraction maxima, sorted by position, 2θ = 10–90°:
2θ/deg, I (rel.)
24.21, 22
26.06, 24
28.21, 81
30.13, 100
30.62, 22
32.86, 34
36.07, 51
42.50, 29
43.22, 21
49.59, 21

=====

AcPr4Pd4: computed X-ray diffraction stick pattern (λ = 1.5418 Å (Cu Kα)), based on a DFT-relaxed cell (GGA-PBE, Alexandria).
Intensities are scaled so that the largest is 100.

Crystal structure
```
AcPr4Pd4
1.0
9.4676 0.0000 0.0000
0.0000 9.4676 0.0000
0.0000 0.0000 6.0002
Ac Pr Pd
2 8 8
Cartesian
2.3669 2.3669 1.5001
7.1007 7.1007 4.5002
0.6901 6.1973 1.0264
1.4635 8.7775 4.0265
3.2703 5.4239 4.0265
4.0437 8.0041 1.0264
5.4239 1.4635 4.9738
6.1973 4.0437 1.9737
8.0041 0.6901 1.9737
8.7775 3.2703 4.9738
0.3806 5.9133 4.0020
1.1795 9.0870 1.0019
3.5543 5.1144 1.0019
4.3532 8.2882 4.0020
5.1144 1.1795 1.9982
5.9133 4.3532 4.9983
8.2882 0.3806 4.9983
9.0870 3.5543 1.9982
```

Largest 10 diffraction maxima, sorted by position, 2θ = 10–90°:
2θ/deg, I (rel.)
17.50, 19
25.75, 27
29.83, 100
31.28, 25
36.71, 12
37.38, 13
41.53, 15
42.69, 53
45.93, 14
52.93, 12

=====

Ac3PrPd12: computed X-ray diffraction stick pattern (λ = 1.5418 Å (Cu Kα)), based on a DFT-relaxed cell (GGA-PBE, Alexandria).
Intensities are scaled so that the largest is 100.

Crystal structure
```
Ac3PrPd12
1.0
4.2889 0.0000 0.0000
0.0000 4.2889 0.0000
0.0000 0.0000 17.1902
Ac Pr Pd
3 1 12
Cartesian
0.0000 0.0000 0.0000
0.0000 0.0000 4.3490
0.0000 0.0000 12.8412
0.0000 0.0000 8.5951
0.0000 2.1445 2.1728
0.0000 2.1445 6.5118
0.0000 2.1445 10.6784
0.0000 2.1445 15.0174
2.1445 0.0000 2.1728
2.1445 0.0000 6.5118
2.1445 0.0000 10.6784
2.1445 0.0000 15.0174
2.1445 2.1445 0.0000
2.1445 2.1445 4.3397
2.1445 2.1445 8.5951
2.1445 2.1445 12.8504
```

Largest 10 diffraction maxima, sorted by position, 2θ = 10–90°:
2θ/deg, I (rel.)
20.70, 9
29.43, 8
36.25, 100
42.11, 49
47.36, 5
52.21, 4
61.07, 33
73.05, 12
73.17, 25
76.96, 11

=====

Ac2Pr3Pd4: computed X-ray diffraction stick pattern (λ = 1.5418 Å (Cu Kα)), based on a DFT-relaxed cell (GGA-PBE, Alexandria).
Intensities are scaled so that the largest is 100.

Crystal structure
```
Ac2Pr3Pd4
1.0
7.8756 0.0000 0.0000
0.0000 7.9344 0.0000
-2.6630 0.0000 8.0625
Ac Pr Pd
4 6 8
Cartesian
1.3248 1.3797 0.7745
-0.0067 2.5875 4.8058
5.2194 5.3469 3.2567
3.8879 6.5547 7.2880
1.2441 5.2585 2.0262
-0.0874 6.6431 6.0575
2.6063 0.0000 4.0313
3.9378 3.9672 0.0000
5.3001 1.2913 2.0050
3.9686 2.6759 6.0363
-1.6035 4.2642 7.0861
-0.2720 7.6373 3.0549
2.2746 4.9989 5.0102
3.6061 6.9027 0.9790
1.6066 1.0317 7.0835
2.9380 2.9355 3.0523
5.4847 0.2970 5.0076
6.8162 3.6702 0.9764
```

Largest 10 diffraction maxima, sorted by position, 2θ = 10–90°:
2θ/deg, I (rel.)
29.25, 97
30.46, 78
31.26, 37
32.23, 100
32.92, 39
33.65, 75
35.73, 61
35.94, 28
36.03, 36
44.21, 31

=====

AcPrPd3: computed X-ray diffraction stick pattern (λ = 1.5418 Å (Cu Kα)), based on a DFT-relaxed cell (GGA-PBE, Alexandria).
Intensities are scaled so that the largest is 100.

Crystal structure
```
AcPrPd3
1.0
2.0268 -13.7301 0.0000
2.0268 13.7301 0.0000
0.0000 0.0000 4.4834
Ac Pr Pd
2 2 6
Cartesian
2.0268 11.7371 3.3626
2.0268 -11.7371 1.1209
2.0268 8.1147 1.1209
2.0268 -8.1147 3.3626
2.0268 5.0828 1.1209
2.0268 3.4115 3.3626
2.0268 0.7380 3.3626
2.0268 -0.7380 1.1209
2.0268 -3.4115 1.1209
2.0268 -5.0828 3.3626
```

Largest 10 diffraction maxima, sorted by position, 2θ = 10–90°:
2θ/deg, I (rel.)
25.96, 12
31.31, 100
31.74, 40
33.99, 15
38.44, 40
40.23, 26
44.71, 20
52.13, 20
60.40, 21
61.70, 15

=====

- What is the formula in the eleventh record?
  Ac2Pr3Pd4